Diffraction record for LiV4O8. The powder XRD pattern is simulated, not measured: it uses a crystal structure in Alexandria, relaxed with PBE+U and a wavelength of 1.5418 Å.

Atomic structure:
```
LiV4O8
1.0
6.3262 0.0000 0.0000
0.0000 2.8560 4.2962
0.0000 -2.8560 4.2962
Li V O
1 4 8
Cartesian
0.0000 0.0000 0.0000
0.0000 0.0000 2.7376
1.6242 0.0000 5.7786
3.1631 0.0000 0.2184
4.7020 0.0000 5.7786
0.0000 -1.4241 5.9148
0.0000 1.4241 5.9148
1.3475 0.0000 3.7599
1.7359 0.0000 7.7237
3.1631 -1.3397 5.5572
3.1631 1.3397 5.5572
4.5903 0.0000 7.7237
4.9787 0.0000 3.7599
```

Largest 8 diffraction maxima, sorted by position, 2θ = 10–90°:
d_spacing, intensity
3.802, 78
3.554, 48
2.856, 48
2.634, 100
2.560, 52
1.901, 22
1.603, 22
1.509, 44